Record 1
This entry pairs a crystal structure of WOF4 with its calculated X-ray diffraction stick pattern. Radiation: Cu Ka. Structure: a cell relaxed with GGA+U.
Peak positions follow from Bragg's law for the DFT cell and can differ from measured ones.

Atomic structure:
abc: 5.352 6.276 6.528
angles: 102.25 95.16 107.93
Space group P-1 (No. 2)
Inequivalent atoms, fractional coordinates:
W 0.086 0.218 0.252 x2
O 0.005 0.743 0.500 x2
F 0.155 0.681 0.896 x2
F 0.157 0.099 0.890 x2
F 0.343 0.075 0.294 x2
F 0.361 0.495 0.269 x2

Largest 8 diffraction maxima, in order of rising 2θ, 10 to 80 degrees two-theta:
(hkl)	2θ/deg	d/Å	intensity
1 0 0	17.7	5.021	812
0 1 -1	18.0	4.920	1000
1 -1 0	19.1	4.639	397
0 1 1	23.4	3.802	498
-1 1 1	24.4	3.645	376
1 1 -1	27.3	3.269	295
0 0 2	28.4	3.145	324
1 0 -2	30.9	2.890	353

***

Record 2
This entry pairs a crystal structure of W2OF8 with its calculated X-ray diffraction stick pattern. Radiation: Cu Ka. Structure: a cell relaxed with GGA+U.
Peak positions follow from Bragg's law for the DFT cell and can differ from measured ones.

Atomic structure:
abc: 9.235 5.508 15.977
angles: 90.00 105.66 90.00
Space group P2/c (No. 13)
Inequivalent atoms, fractional coordinates:
W 0.021 0.078 0.157 x4
W 0.388 0.191 0.624 x4
O 0.211 0.067 0.632 x4
F 0.000 0.187 0.750 x2
F 0.041 0.380 0.102 x4
F 0.112 0.098 0.936 x4
F 0.146 0.200 0.280 x4
F 0.313 0.329 0.514 x4
F 0.368 0.475 0.686 x4
F 0.416 0.302 0.877 x4
F 0.450 0.110 0.089 x4
F 0.500 0.070 0.750 x2

Largest 8 diffraction maxima, in order of rising 2θ, 10 to 80 degrees two-theta:
(hkl)	2θ/deg	d/Å	intensity
0 1 0	16.1	5.508	540
1 0 2	17.2	5.170	471
1 1 -1	19.0	4.671	1000
2 0 0	20.0	4.446	314
2 0 -2	20.2	4.398	292
0 0 4	23.1	3.846	409
2 1 1	27.6	3.234	311
1 2 0	34.1	2.629	223

***

Record 3
This entry pairs a crystal structure of WO2F2 with its calculated X-ray diffraction stick pattern. Radiation: Cu Ka. Structure: a cell relaxed with GGA+U.
Peak positions follow from Bragg's law for the DFT cell and can differ from measured ones.

Atomic structure:
abc: 5.494 5.483 9.493
angles: 90.00 90.00 90.00
Space group Cmcm (No. 63)
Inequivalent atoms, fractional coordinates:
W 0.000 0.220 0.250 x4
O 0.249 0.005 0.750 x8
F 0.000 0.259 0.052 x8

Largest 8 diffraction maxima, in order of rising 2θ, 10 to 80 degrees two-theta:
(hkl)	2θ/deg	d/Å	intensity
0 0 2	18.7	4.747	453
1 1 1	24.8	3.592	1000
2 0 0	32.6	2.744	223
1 1 3	36.6	2.452	211
0 0 4	37.9	2.375	228
2 2 2	50.8	1.796	210
3 1 1	53.7	1.707	212
3 1 5	74.0	1.281	166

***

Record 4
This entry pairs a crystal structure of WOF4 with its calculated X-ray diffraction stick pattern. Radiation: Cu Ka. Structure: a cell relaxed with GGA+U.
Peak positions follow from Bragg's law for the DFT cell and can differ from measured ones.

Atomic structure:
abc: 5.258 6.142 6.435
angles: 102.42 93.01 98.96
Space group P-1 (No. 2)
Inequivalent atoms, fractional coordinates:
W 0.135 0.243 0.215 x2
O 0.341 0.495 0.260 x2
F 0.019 0.237 0.486 x2
F 0.145 0.123 0.905 x2
F 0.178 0.665 0.863 x2
F 0.368 0.046 0.254 x2

Largest 8 diffraction maxima, in order of rising 2θ, 10 to 80 degrees two-theta:
(hkl)	2θ/deg	d/Å	intensity
1 0 0	17.1	5.173	569
0 1 -1	18.2	4.884	1000
1 -1 0	20.8	4.272	403
1 0 -1	21.3	4.174	472
0 1 1	22.9	3.881	506
1 -1 1	24.1	3.686	254
0 0 2	28.5	3.130	272
0 2 0	30.2	2.955	230

***

Record 5
This entry pairs a crystal structure of WOF4 with its calculated X-ray diffraction stick pattern. Radiation: Cu Ka. Structure: a cell relaxed with GGA+U.
Peak positions follow from Bragg's law for the DFT cell and can differ from measured ones.

Atomic structure:
abc: 7.173 7.173 3.930
angles: 90.00 90.00 90.00
Space group I4 (No. 79)
Inequivalent atoms, fractional coordinates:
W 0.000 0.000 0.000 x2
O 0.000 0.000 0.454 x2
F 0.068 0.252 0.939 x8

Largest 8 diffraction maxima, in order of rising 2θ, 10 to 80 degrees two-theta:
(hkl)	2θ/deg	d/Å	intensity
1 1 0	17.5	5.072	1000
2 0 0	24.8	3.587	377
1 0 1	25.8	3.447	792
1 2 1	36.1	2.485	313
1 3 0	39.7	2.268	274
3 0 1	44.3	2.043	150
2 3 1	51.5	1.775	162
1 4 1	58.0	1.591	173

***

Record 6
This entry pairs a crystal structure of WO2F with its calculated X-ray diffraction stick pattern. Radiation: Cu Ka. Structure: a cell relaxed with GGA+U.
Peak positions follow from Bragg's law for the DFT cell and can differ from measured ones.

Atomic structure:
abc: 5.519 5.642 13.829
angles: 87.21 89.33 61.48
Space group P-1 (No. 2)
Inequivalent atoms, fractional coordinates:
W 0.016 0.487 0.249 x2
W 0.326 0.838 0.584 x2
W 0.368 0.799 0.083 x2
O 0.000 0.000 0.500 x1
O 0.172 0.679 0.667 x2
O 0.180 0.672 0.165 x2
O 0.301 0.354 0.833 x2
O 0.327 0.332 0.330 x2
O 0.500 0.000 0.000 x1
O 0.500 0.000 0.500 x1
O 0.500 0.500 0.000 x1
F 0.000 0.000 0.000 x1
F 0.164 0.177 0.665 x2
F 0.186 0.157 0.166 x2
F 0.500 0.500 0.500 x1

Largest 8 diffraction maxima, in order of rising 2θ, 10 to 80 degrees two-theta:
(hkl)	2θ/deg	d/Å	intensity
0 1 2	21.6	4.121	1000
1 0 2	22.5	3.944	937
1 1 -2	23.0	3.875	919
1 1 4	31.4	2.849	509
1 0 -4	31.6	2.830	257
1 2 0	31.8	2.816	260
0 1 -4	32.3	2.769	265
2 1 0	32.4	2.759	254

***

Record 7
This entry pairs a crystal structure of WO2F2 with its calculated X-ray diffraction stick pattern. Radiation: Cu Ka. Structure: a cell relaxed with GGA+U.
Peak positions follow from Bragg's law for the DFT cell and can differ from measured ones.

Atomic structure:
abc: 6.609 3.889 7.721
angles: 90.00 90.00 90.00
Space group Pmc2_1 (No. 26)
Inequivalent atoms, fractional coordinates:
W 0.000 0.038 0.000 x2
O 0.000 0.003 0.762 x2
O 0.000 0.492 0.509 x2
F 0.284 0.004 0.520 x4

Largest 8 diffraction maxima, in order of rising 2θ, 10 to 80 degrees two-theta:
(hkl)	2θ/deg	d/Å	intensity
1 0 0	13.4	6.609	1000
0 1 0	22.9	3.889	320
0 0 2	23.0	3.860	326
1 1 0	26.6	3.351	259
1 0 2	26.7	3.333	272
0 1 2	32.7	2.740	180
1 1 2	35.5	2.531	160
3 0 2	47.5	1.915	157

***

Record 8
This entry pairs a crystal structure of WOF4 with its calculated X-ray diffraction stick pattern. Radiation: Cu Ka. Structure: a cell relaxed with GGA+U.
Peak positions follow from Bragg's law for the DFT cell and can differ from measured ones.

Atomic structure:
abc: 19.689 5.796 15.246
angles: 90.00 113.51 90.00
Space group C2/c (No. 15)
Inequivalent atoms, fractional coordinates:
W 0.111 0.090 0.182 x8
W 0.133 0.405 0.888 x8
O 0.130 0.121 0.617 x8
O 0.173 0.395 0.476 x8
F 0.008 0.131 0.114 x8
F 0.039 0.364 0.888 x8
F 0.083 0.113 0.767 x8
F 0.085 0.380 0.280 x8
F 0.128 0.355 0.123 x8
F 0.168 0.134 0.960 x8
F 0.203 0.126 0.287 x8
F 0.206 0.373 0.836 x8

Largest 8 diffraction maxima, in order of rising 2θ, 10 to 80 degrees two-theta:
(hkl)	2θ/deg	d/Å	intensity
1 1 1	18.0	4.932	260
4 0 0	19.7	4.514	1000
3 1 -2	21.6	4.121	834
1 1 2	21.7	4.095	947
2 0 -4	23.3	3.811	269
3 1 -3	24.4	3.652	392
3 1 -4	28.4	3.142	280
0 2 1	31.5	2.838	277